Record 1
Structure and calculated X-ray powder pattern of AcTb2Pr6Sm (DFT lattice parameters and positions (PBE); Cu Kα (weighted mean of Kα1 and Kα2)).
Kinematic intensities with the Lorentz-polarization factor, no thermal factor.

Most intense lines, 15° ≤ 2θ ≤ 90°, sorted by position:
Position (°2θ), I_rel
27.17, 25
27.40, 46
29.47, 100
30.03, 71
30.16, 45
30.47, 42
31.19, 28
32.69, 40
51.92, 20
57.22, 18

Structural model:
```
AcTb2Pr6Sm
1.0
4.7300 -7.8073 0.0000
4.7300 7.8073 0.0000
-1.1544 0.0000 9.8600
Ac Tb Pr Sm
2 4 12 2
direct
0.0274 0.9726 0.7500
0.9726 0.0274 0.2500
0.2000 0.3068 0.5467
0.3068 0.2000 0.0467
0.6932 0.8000 0.9533
0.8000 0.6932 0.4533
0.0128 0.5567 0.6826
0.1177 0.7511 0.0536
0.2489 0.8823 0.4464
0.2942 0.5077 0.8810
0.4433 0.9872 0.8174
0.4923 0.7058 0.6190
0.5077 0.2942 0.3810
0.5567 0.0128 0.1826
0.7058 0.4923 0.1190
0.7511 0.1177 0.5536
0.8823 0.2489 0.9464
0.9872 0.4433 0.3174
0.4096 0.5904 0.2500
0.5904 0.4096 0.7500
```

---

Record 2
Structure and calculated X-ray powder pattern of Ac2TbPrSm (DFT lattice parameters and positions (PBE); Cu Kα (weighted mean of Kα1 and Kα2)).
Kinematic intensities with the Lorentz-polarization factor, no thermal factor.

Most intense lines, 15° ≤ 2θ ≤ 90°, sorted by position:
Position (°2θ), I_rel
27.41, 100
27.64, 28
28.01, 29
29.64, 24
31.32, 25
32.25, 21
32.94, 20
35.40, 29
43.15, 20
48.73, 21

Structural model:
```
Ac2TbPrSm
1.0
6.4555 0.0000 0.0000
0.0000 9.0482 0.0000
0.0000 0.0000 6.8055
Ac Tb Pr Sm
4 2 2 2
direct
0.2500 0.2003 0.2050
0.2500 0.7997 0.2050
0.7500 0.2003 0.7950
0.7500 0.7997 0.7950
0.2500 0.0000 0.6716
0.7500 0.0000 0.3284
0.2500 0.5000 0.9205
0.7500 0.5000 0.0795
0.0000 0.5000 0.5000
0.5000 0.5000 0.5000
```

---

Record 3
Structure and calculated X-ray powder pattern of AcTb2Pr4Sm (DFT lattice parameters and positions (PBE); Cu Kα (weighted mean of Kα1 and Kα2)).
Kinematic intensities with the Lorentz-polarization factor, no thermal factor.

Most intense lines, 15° ≤ 2θ ≤ 90°, sorted by position:
Position (°2θ), I_rel
29.55, 100
34.13, 17
34.26, 17
34.36, 17
49.15, 18
49.29, 18
58.30, 15
58.47, 15
58.61, 15
61.33, 13

Structural model:
```
AcTb2Pr4Sm
1.0
5.8454 -2.6173 0.0000
5.8454 2.6173 0.0000
-4.7316 0.0000 9.3831
Ac Tb Pr Sm
1 2 4 1
direct
0.0000 0.0000 0.0000
0.4992 0.4992 0.2557
0.5008 0.5008 0.7443
0.2475 0.2475 0.8701
0.2512 0.2512 0.3780
0.7488 0.7488 0.6220
0.7525 0.7525 0.1299
0.0000 0.0000 0.5000
```

---

Record 4
Structure and calculated X-ray powder pattern of Ac2TbPrSm4 (DFT lattice parameters and positions (PBE); Cu Kα (weighted mean of Kα1 and Kα2)).
Kinematic intensities with the Lorentz-polarization factor, no thermal factor.

Most intense lines, 15° ≤ 2θ ≤ 90°, sorted by position:
Position (°2θ), I_rel
25.90, 65
28.94, 100
29.34, 50
39.22, 86
39.53, 41
51.79, 19
58.10, 14
58.79, 25
61.75, 21
66.42, 19

Structural model:
```
Ac2TbPrSm4
1.0
7.0610 -6.8790 0.0000
7.0610 6.8790 0.0000
-3.6268 0.0000 6.1722
Ac Tb Pr Sm
4 2 2 8
direct
0.0000 0.0000 0.0000
0.0000 0.0000 0.5000
0.0000 0.5000 0.0000
0.5000 0.0000 0.5000
0.5000 0.5000 0.0000
0.5000 0.5000 0.5000
0.0000 0.5000 0.5000
0.5000 0.0000 0.0000
0.2578 0.2746 0.5177
0.2627 0.7372 0.5150
0.2628 0.7373 0.9850
0.2746 0.2578 0.0177
0.7254 0.7422 0.9823
0.7372 0.2627 0.0150
0.7373 0.2628 0.4850
0.7422 0.7254 0.4823
```

---

Record 5
Structure and calculated X-ray powder pattern of AcPr2SmTe5 (DFT lattice parameters and positions (PBE); Cu Kα (weighted mean of Kα1 and Kα2)).
Kinematic intensities with the Lorentz-polarization factor, no thermal factor.

Most intense lines, 15° ≤ 2θ ≤ 90°, sorted by position:
Position (°2θ), I_rel
22.30, 91
29.01, 22
31.28, 68
31.74, 100
33.16, 59
43.53, 29
45.50, 37
46.56, 46
51.23, 20
56.25, 26

Structural model:
```
AcPr2SmTe5
1.0
5.6389 0.0000 0.0000
0.0000 5.6389 0.0000
0.0000 0.0000 12.3113
Ac Pr Sm Te
1 2 1 5
direct
0.0000 0.0000 0.0000
0.5000 0.5000 0.3527
0.5000 0.5000 0.6473
0.0000 0.0000 0.5000
0.0000 0.0000 0.2542
0.0000 0.0000 0.7458
0.0000 0.5000 0.5000
0.5000 0.0000 0.5000
0.5000 0.5000 0.0000
```

---

Record 6
Structure and calculated X-ray powder pattern of Ac3PrSm3Te8 (DFT lattice parameters and positions (PBE); Cu Kα (weighted mean of Kα1 and Kα2)).
Kinematic intensities with the Lorentz-polarization factor, no thermal factor.

Most intense lines, 15° ≤ 2θ ≤ 90°, sorted by position:
Position (°2θ), I_rel
27.61, 100
39.13, 39
39.77, 38
48.02, 7
49.10, 20
57.02, 13
64.06, 18
64.95, 18
70.48, 7
71.76, 13

Structural model:
```
Ac3PrSm3Te8
1.0
4.5334 2.6173 7.5780
-4.5334 2.6173 7.5780
0.0000 -5.2347 7.5780
Ac Pr Sm Te
3 1 3 8
direct
0.0000 0.5000 0.5000
0.5000 0.0000 0.5000
0.5000 0.5000 0.0000
0.5000 0.5000 0.5000
0.0000 0.0000 0.5000
0.0000 0.5000 0.0000
0.5000 0.0000 0.0000
0.2344 0.7533 0.7533
0.2438 0.2438 0.2438
0.2467 0.2467 0.7656
0.2467 0.7656 0.2467
0.7533 0.2344 0.7533
0.7533 0.7533 0.2344
0.7562 0.7562 0.7562
0.7656 0.2467 0.2467
```

---

Record 7
Structure and calculated X-ray powder pattern of AcPr2SmTm (DFT lattice parameters and positions (PBE); Cu Kα (weighted mean of Kα1 and Kα2)).
Kinematic intensities with the Lorentz-polarization factor, no thermal factor.

Most intense lines, 15° ≤ 2θ ≤ 90°, sorted by position:
Position (°2θ), I_rel
27.32, 11
27.46, 25
30.02, 38
31.25, 52
31.38, 100
41.09, 16
54.14, 33
57.99, 23
58.22, 12
58.95, 17

Structural model:
```
AcPr2SmTm
1.0
6.4938 0.0000 0.0000
0.0000 5.9526 0.0000
-3.1937 0.0000 9.4107
Ac Pr Sm Tm
2 4 2 2
direct
0.1355 0.2500 0.1050
0.8645 0.7500 0.8950
0.2649 0.7500 0.6992
0.3373 0.2500 0.5005
0.6627 0.7500 0.4995
0.7351 0.2500 0.3008
0.4781 0.7500 0.1069
0.5219 0.2500 0.8931
0.0652 0.7500 0.3094
0.9348 0.2500 0.6906
```

---

Record 8
Structure and calculated X-ray powder pattern of AcPr2SmTm4 (DFT lattice parameters and positions (PBE); Cu Kα (weighted mean of Kα1 and Kα2)).
Kinematic intensities with the Lorentz-polarization factor, no thermal factor.

Most intense lines, 15° ≤ 2θ ≤ 90°, sorted by position:
Position (°2θ), I_rel
26.50, 45
29.87, 100
40.31, 30
40.37, 59
52.97, 14
60.19, 18
60.32, 9
62.11, 8
63.46, 23
68.73, 12

Structural model:
```
AcPr2SmTm4
1.0
-3.4487 5.9926 6.7262
3.4487 -5.9926 6.7262
3.4487 5.9926 -6.7262
Ac Pr Sm Tm
2 4 2 8
direct
0.0000 0.0000 0.0000
0.5000 0.0000 0.5000
0.0000 0.5000 0.5000
0.5000 0.0000 0.0000
0.5000 0.5000 0.0000
0.5000 0.5000 0.5000
0.0000 0.0000 0.5000
0.0000 0.5000 0.0000
0.2387 0.7417 0.4970
0.2475 0.2599 0.5124
0.2475 0.7351 0.9876
0.2553 0.2583 0.9970
0.7447 0.7417 0.0030
0.7525 0.2649 0.0124
0.7525 0.7401 0.4876
0.7613 0.2583 0.5030
```

---

Record 9
Structure and calculated X-ray powder pattern of AcPr2SmY6 (DFT lattice parameters and positions (PBE); Cu Kα (weighted mean of Kα1 and Kα2)).
Kinematic intensities with the Lorentz-polarization factor, no thermal factor.

Most intense lines, 15° ≤ 2θ ≤ 90°, sorted by position:
Position (°2θ), I_rel
26.03, 32
29.17, 100
30.12, 67
31.54, 100
37.92, 19
46.57, 21
48.51, 23
54.12, 31
57.59, 29
65.87, 18

Structural model:
```
AcPr2SmY6
1.0
7.5096 0.0000 0.0000
0.0000 9.6856 0.0000
-7.5064 0.0000 9.6788
Ac Pr Sm Y
2 4 2 12
direct
0.0000 0.0000 0.0000
0.0000 0.5000 0.5000
0.4227 0.1747 0.6735
0.4227 0.3253 0.1735
0.5773 0.6747 0.8265
0.5773 0.8253 0.3265
0.5000 0.0000 0.0000
0.5000 0.5000 0.5000
0.0763 0.6733 0.8260
0.0763 0.8267 0.3260
0.1278 0.6184 0.1274
0.1278 0.8816 0.6274
0.3803 0.1267 0.3811
0.3803 0.3733 0.8811
0.6197 0.6267 0.1189
0.6197 0.8733 0.6189
0.8722 0.1184 0.3726
0.8722 0.3816 0.8726
0.9237 0.1733 0.6740
0.9237 0.3267 0.1740
```

---

Record 10
Structure and calculated X-ray powder pattern of Ac2PrSmY5 (DFT lattice parameters and positions (PBE); Cu Kα (weighted mean of Kα1 and Kα2)).
Kinematic intensities with the Lorentz-polarization factor, no thermal factor.

Most intense lines, 15° ≤ 2θ ≤ 90°, sorted by position:
Position (°2θ), I_rel
25.83, 17
27.63, 17
29.06, 41
30.59, 42
31.39, 100
32.52, 11
49.40, 14
54.88, 21
58.22, 16
59.23, 14

Structural model:
```
Ac2PrSmY5
1.0
2.9224 -10.1298 0.0000
2.9224 10.1298 0.0000
0.0000 0.0000 11.0121
Ac Pr Sm Y
4 2 2 10
direct
0.1124 0.8876 0.5000
0.1162 0.8838 0.0903
0.8838 0.1162 0.5903
0.8876 0.1124 0.0000
0.4174 0.5826 0.2297
0.5826 0.4174 0.7297
0.2055 0.7945 0.7801
0.7945 0.2055 0.2801
0.0191 0.9809 0.7961
0.2849 0.7151 0.0772
0.2977 0.7023 0.4757
0.3918 0.6082 0.7911
0.4799 0.5201 0.5067
0.5201 0.4799 0.0067
0.6082 0.3918 0.2911
0.7023 0.2977 0.9757
0.7151 0.2849 0.5772
0.9809 0.0191 0.2961
```

---

Record 11
Structure and calculated X-ray powder pattern of AcPrSm5Y2 (DFT lattice parameters and positions (PBE); Cu Kα (weighted mean of Kα1 and Kα2)).
Kinematic intensities with the Lorentz-polarization factor, no thermal factor.

Most intense lines, 15° ≤ 2θ ≤ 90°, sorted by position:
Position (°2θ), I_rel
16.14, 15
26.92, 17
29.03, 17
29.18, 16
30.77, 71
31.74, 100
32.67, 43
43.54, 12
43.65, 11
55.93, 15

Structural model:
```
AcPrSm5Y2
1.0
2.8196 -12.1216 0.0000
2.8196 12.1216 0.0000
0.0000 0.0000 9.4894
Ac Pr Sm Y
2 2 10 4
direct
0.1022 0.8978 0.5000
0.8978 0.1022 0.0000
0.2619 0.7381 0.1092
0.7381 0.2619 0.6092
0.0240 0.9760 0.8209
0.1023 0.8977 0.1016
0.1903 0.8097 0.8003
0.2413 0.7587 0.4350
0.4931 0.5069 0.5973
0.5069 0.4931 0.0973
0.7587 0.2413 0.9350
0.8097 0.1903 0.3003
0.8977 0.1023 0.6016
0.9760 0.0240 0.3209
0.3310 0.6690 0.7462
0.3880 0.6120 0.3554
0.6120 0.3880 0.8554
0.6690 0.3310 0.2462
```

---

Record 12
Structure and calculated X-ray powder pattern of AcPr2Sm2Y (DFT lattice parameters and positions (PBE); Cu Kα (weighted mean of Kα1 and Kα2)).
Kinematic intensities with the Lorentz-polarization factor, no thermal factor.

Most intense lines, 15° ≤ 2θ ≤ 90°, sorted by position:
Position (°2θ), I_rel
27.48, 25
29.89, 25
31.36, 100
41.04, 17
48.60, 13
53.99, 22
58.09, 23
58.97, 16
75.55, 8
79.78, 9

Structural model:
```
AcPr2Sm2Y
1.0
5.9795 0.0000 0.0000
0.0000 11.2508 0.0000
0.0000 0.0000 6.4874
Ac Pr Sm Y
2 4 4 2
direct
0.0000 0.2478 0.0000
0.0000 0.7522 0.5000
0.0000 0.4188 0.4910
0.0000 0.5812 0.9910
0.5000 0.2488 0.6578
0.5000 0.7512 0.1578
0.0000 0.0804 0.4953
0.0000 0.9196 0.9953
0.5000 0.4189 0.1685
0.5000 0.5811 0.6685
0.5000 0.0786 0.1670
0.5000 0.9214 0.6670
```